(1)
Mg2MnP: computed X-ray powder pattern (CuKα), based on a PBE-relaxed structure.
No peak broadening, texture or thermal motion is included.

Largest 8 diffraction maxima, in order of falling intensity, 2θ from 10° to 90°:
h k l	2θ (°)	intensity
0 0 1	12.44	100.0
1 0 2	39.35	68.2
1 1 0	42.74	46.2
1 0 3	49.01	24.1
2 1 2	75.99	17.3
2 0 0	62.04	14.2
1 1 3	58.46	14.0
1 1 1	44.69	13.5

Cell and atoms:
```
data_Mg2MnP
_symmetry_space_group_name_H-M 'P 4 m m'
_symmetry_Int_Tables_number 99
_symmetry_space_group_name_Hall 'P 4 -2'
_cell_length_a 2.992
_cell_length_b 2.992
_cell_length_c 7.116
_cell_angle_alpha 90.00
_cell_angle_beta 90.00
_cell_angle_gamma 90.00
loop_
_atom_site_label
_atom_site_type_symbol
_atom_site_fract_x
_atom_site_fract_y
_atom_site_fract_z
Mg1 Mg 0.000 0.000 0.000
Mg2 Mg 0.500 0.500 0.348
Mn1 Mn 0.000 0.000 0.613
P1 P 0.500 0.500 0.738
```



(2)
MgMnPt4: computed X-ray powder pattern (CuKα), based on a PBE-relaxed structure.
No peak broadening, texture or thermal motion is included.

Largest 8 diffraction maxima, in order of falling intensity, 2θ from 10° to 90°:
h k l	2θ (°)	intensity
3 1 0	39.14	100.0
1 1 -2	39.76	96.5
4 0 -2	45.11	73.4
1 1 0	25.40	44.2
4 2 -2	67.49	40.5
0 2 0	47.38	29.4
2 0 0	20.59	23.0
0 0 2	33.54	22.0

Cell and atoms:
```
data_MgMnPt4
_symmetry_space_group_name_H-M 'C 1 2/m 1'
_symmetry_Int_Tables_number 12
_symmetry_space_group_name_Hall '-C 2y'
_cell_length_a 9.079
_cell_length_b 3.837
_cell_length_c 5.620
_cell_angle_alpha 90.00
_cell_angle_beta 108.14
_cell_angle_gamma 90.00
loop_
_atom_site_label
_atom_site_type_symbol
_atom_site_fract_x
_atom_site_fract_y
_atom_site_fract_z
Mg1 Mg 0.000 0.000 0.000
Mn1 Mn 0.000 0.000 0.500
Pt1 Pt 0.161 0.500 0.827
Pt2 Pt 0.162 0.500 0.334
```